This entry pairs a crystal structure of Ti4Ir2Pt3 with its computed XRD peak list. Radiation: Cu Kα (weighted mean of Kα1 and Kα2). Structure: a crystal structure in Alexandria, relaxed with PBE.
No peak broadening, texture or thermal motion is included.

Top 6 peaks for 10° ≤ 2θ ≤ 80°, in order of falling intensity:
d/Å	intensity
2.277	100
2.071	20
1.980	17
3.163	14
1.878	13
2.568	13

Atomic structure:
a = 4.718 Å, b = 4.718 Å, c = 8.400 Å
α = 102.13°, β = 102.13°, γ = 49.64°
Atoms (fractional coordinates):
Ti: 0.022 0.022 0.336
Ti: 0.333 0.333 0.112
Ti: 0.667 0.667 0.888
Ti: 0.978 0.978 0.664
Ir: 0.329 0.329 0.786
Ir: 0.671 0.671 0.214
Pt: 0.000 0.000 0.000
Pt: 0.338 0.338 0.435
Pt: 0.662 0.662 0.565

This entry pairs a crystal structure of TlZnIr2Pt with its computed XRD peak list. Radiation: Cu Kα (weighted mean of Kα1 and Kα2). Structure: a crystal structure in Alexandria, relaxed with PBE.
No peak broadening, texture or thermal motion is included.

Top 6 peaks for 10° ≤ 2θ ≤ 80°, in order of falling intensity:
d/Å	intensity
2.495	100
4.990	80
1.764	72
2.881	54
2.232	42
1.440	25

Atomic structure:
a = 4.992 Å, b = 4.992 Å, c = 4.986 Å
α = 90.00°, β = 90.00°, γ = 90.00°
Atoms (fractional coordinates):
Tl: 0.000 0.000 0.000
Zn: 0.500 0.500 0.500
Ir: 0.000 0.500 0.000
Ir: 0.500 0.000 0.000
Pt: 0.000 0.000 0.500

This entry pairs a crystal structure of Tm6IrPt2 with its computed XRD peak list. Radiation: Cu Kα (weighted mean of Kα1 and Kα2). Structure: a crystal structure in Alexandria, relaxed with PBE.
No peak broadening, texture or thermal motion is included.

Top 6 peaks for 10° ≤ 2θ ≤ 80°, in order of falling intensity:
d/Å	intensity
2.871	100
2.683	91
2.893	74
3.019	60
2.251	54
2.432	47

Atomic structure:
a = 6.513 Å, b = 7.198 Å, c = 11.620 Å
α = 90.00°, β = 121.61°, γ = 90.00°
Atoms (fractional coordinates):
Tm: 0.093 0.183 0.431
Tm: 0.093 0.317 0.931
Tm: 0.250 0.676 0.426
Tm: 0.250 0.824 0.926
Tm: 0.404 0.044 0.246
Tm: 0.404 0.456 0.746
Tm: 0.596 0.544 0.254
Tm: 0.596 0.956 0.754
Tm: 0.750 0.176 0.074
Tm: 0.750 0.324 0.574
Tm: 0.907 0.683 0.069
Tm: 0.907 0.817 0.569
Ir: 0.500 0.000 0.500
Ir: 0.500 0.500 0.000
Pt: 0.184 0.115 0.739
Pt: 0.184 0.385 0.239
Pt: 0.816 0.615 0.761
Pt: 0.816 0.885 0.261

This entry pairs a crystal structure of Tm6IrPt3 with its computed XRD peak list. Radiation: Cu Kα (weighted mean of Kα1 and Kα2). Structure: a crystal structure in Alexandria, relaxed with PBE.
No peak broadening, texture or thermal motion is included.

Top 6 peaks for 10° ≤ 2θ ≤ 80°, in order of falling intensity:
d/Å	intensity
2.404	100
2.367	86
2.855	34
2.394	25
1.696	18
2.835	17

Atomic structure:
a = 8.159 Å, b = 11.829 Å, c = 4.804 Å
α = 90.00°, β = 90.00°, γ = 90.00°
Atoms (fractional coordinates):
Tm: 0.000 0.245 0.000
Tm: 0.000 0.755 0.000
Tm: 0.153 0.409 0.500
Tm: 0.175 0.076 0.500
Tm: 0.325 0.576 0.000
Tm: 0.347 0.909 0.000
Tm: 0.500 0.255 0.500
Tm: 0.500 0.745 0.500
Tm: 0.653 0.091 0.000
Tm: 0.675 0.424 0.000
Tm: 0.825 0.924 0.500
Tm: 0.847 0.591 0.500
Ir: 0.000 0.500 0.000
Ir: 0.500 0.000 0.500
Pt: 0.000 0.000 0.000
Pt: 0.166 0.828 0.500
Pt: 0.334 0.328 0.000
Pt: 0.500 0.500 0.500
Pt: 0.666 0.672 0.000
Pt: 0.834 0.172 0.500

This entry pairs a crystal structure of V4IrPt3 with its computed XRD peak list. Radiation: Cu Kα (weighted mean of Kα1 and Kα2). Structure: a crystal structure in Alexandria, relaxed with PBE.
No peak broadening, texture or thermal motion is included.

Top 6 peaks for 10° ≤ 2θ ≤ 80°, in order of falling intensity:
d/Å	intensity
2.087	100
3.299	59
2.343	35
2.324	35
1.650	23
1.291	21

Atomic structure:
a = 2.695 Å, b = 4.647 Å, c = 9.370 Å
α = 90.00°, β = 90.00°, γ = 90.00°
Atoms (fractional coordinates):
V: 0.000 0.000 0.000
V: 0.000 0.000 0.500
V: 0.000 0.500 0.239
V: 0.000 0.500 0.761
Ir: 0.500 0.500 0.000
Pt: 0.500 0.000 0.257
Pt: 0.500 0.000 0.743
Pt: 0.500 0.500 0.500

This entry pairs a crystal structure of VIr2Pt with its computed XRD peak list. Radiation: Cu Kα (weighted mean of Kα1 and Kα2). Structure: a crystal structure in Alexandria, relaxed with PBE.
No peak broadening, texture or thermal motion is included.

Top 6 peaks for 10° ≤ 2θ ≤ 80°, in order of falling intensity:
d/Å	intensity
2.096	100
2.179	25
2.391	24
1.241	19
1.380	17
1.610	15

Atomic structure:
a = 4.358 Å, b = 5.526 Å, c = 4.778 Å
α = 90.00°, β = 90.00°, γ = 90.00°
Atoms (fractional coordinates):
V: 0.250 0.250 0.176
V: 0.750 0.750 0.824
Ir: 0.250 0.004 0.671
Ir: 0.250 0.496 0.671
Ir: 0.750 0.504 0.329
Ir: 0.750 0.996 0.329
Pt: 0.250 0.750 0.162
Pt: 0.750 0.250 0.838

This entry pairs a crystal structure of V5Ir2Pt4 with its computed XRD peak list. Radiation: Cu Kα (weighted mean of Kα1 and Kα2). Structure: a crystal structure in Alexandria, relaxed with PBE.
No peak broadening, texture or thermal motion is included.

Top 6 peaks for 10° ≤ 2θ ≤ 80°, in order of falling intensity:
d/Å	intensity
2.180	100
2.086	84
2.748	75
2.229	75
2.257	63
3.578	54

Atomic structure:
a = 6.937 Å, b = 16.708 Å, c = 2.748 Å
α = 90.00°, β = 90.00°, γ = 90.00°
Atoms (fractional coordinates):
V: 0.000 0.000 0.000
V: 0.144 0.434 0.000
V: 0.240 0.209 0.000
V: 0.260 0.709 0.000
V: 0.356 0.934 0.000
V: 0.500 0.500 0.000
V: 0.644 0.066 0.000
V: 0.740 0.291 0.000
V: 0.760 0.791 0.000
V: 0.856 0.566 0.000
Ir: 0.047 0.307 0.500
Ir: 0.453 0.807 0.500
Ir: 0.547 0.193 0.500
Ir: 0.953 0.693 0.500
Pt: 0.071 0.857 0.500
Pt: 0.209 0.568 0.500
Pt: 0.291 0.068 0.500
Pt: 0.429 0.357 0.500
Pt: 0.571 0.643 0.500
Pt: 0.709 0.932 0.500
Pt: 0.791 0.432 0.500
Pt: 0.929 0.143 0.500

This entry pairs a crystal structure of VIr3Pt with its computed XRD peak list. Radiation: Cu Kα (weighted mean of Kα1 and Kα2). Structure: a crystal structure in Alexandria, relaxed with PBE.
No peak broadening, texture or thermal motion is included.

Top 6 peaks for 10° ≤ 2θ ≤ 80°, in order of falling intensity:
d/Å	intensity
2.586	100
2.239	65
1.583	45
1.350	41
1.293	15
4.479	2

Atomic structure:
a = 4.479 Å, b = 4.479 Å, c = 4.479 Å
α = 90.00°, β = 90.00°, γ = 90.00°
Atoms (fractional coordinates):
V: 0.000 0.000 0.000
Ir: 0.000 0.000 0.500
Ir: 0.000 0.500 0.000
Ir: 0.500 0.000 0.000
Pt: 0.500 0.500 0.500

This entry pairs a crystal structure of Ir2Pt2W3 with its computed XRD peak list. Radiation: Cu Kα (weighted mean of Kα1 and Kα2). Structure: a crystal structure in Alexandria, relaxed with PBE.
No peak broadening, texture or thermal motion is included.

Top 6 peaks for 10° ≤ 2θ ≤ 80°, in order of falling intensity:
d/Å	intensity
2.268	100
2.281	89
2.066	41
2.082	35
1.467	23
1.357	23

Atomic structure:
a = 9.719 Å, b = 9.719 Å, c = 2.764 Å
α = 90.00°, β = 90.00°, γ = 155.45°
Atoms (fractional coordinates):
Ir: 0.209 0.791 0.000
Ir: 0.791 0.209 0.000
Pt: 0.070 0.930 0.000
Pt: 0.930 0.070 0.000
W: 0.347 0.653 0.500
W: 0.500 0.500 0.500
W: 0.653 0.347 0.500

This entry pairs a crystal structure of Ir4Pt3W with its computed XRD peak list. Radiation: Cu Kα (weighted mean of Kα1 and Kα2). Structure: a crystal structure in Alexandria, relaxed with PBE.
No peak broadening, texture or thermal motion is included.

Top 6 peaks for 10° ≤ 2θ ≤ 80°, in order of falling intensity:
d/Å	intensity
2.249	100
2.202	91
2.272	90
2.045	71
2.100	70
2.374	57

Atomic structure:
a = 5.009 Å, b = 2.751 Å, c = 9.150 Å
α = 90.00°, β = 100.48°, γ = 90.00°
Atoms (fractional coordinates):
Ir: 0.076 0.000 0.258
Ir: 0.251 0.000 0.999
Ir: 0.749 0.000 0.001
Ir: 0.924 0.000 0.742
Pt: 0.412 0.500 0.756
Pt: 0.500 0.000 0.500
Pt: 0.588 0.500 0.244
W: 0.000 0.500 0.500

This entry pairs a crystal structure of Y5Ir4Pt with its computed XRD peak list. Radiation: Cu Kα (weighted mean of Kα1 and Kα2). Structure: a crystal structure in Alexandria, relaxed with PBE.
No peak broadening, texture or thermal motion is included.

Top 6 peaks for 10° ≤ 2θ ≤ 80°, in order of falling intensity:
d/Å	intensity
2.453	100
2.407	47
1.399	34
1.425	18
1.702	17
3.405	14

Atomic structure:
a = 3.405 Å, b = 3.405 Å, c = 17.686 Å
α = 90.00°, β = 90.00°, γ = 90.00°
Atoms (fractional coordinates):
Y: 0.000 0.000 0.000
Y: 0.000 0.000 0.199
Y: 0.000 0.000 0.397
Y: 0.000 0.000 0.603
Y: 0.000 0.000 0.801
Ir: 0.500 0.500 0.100
Ir: 0.500 0.500 0.299
Ir: 0.500 0.500 0.701
Ir: 0.500 0.500 0.900
Pt: 0.500 0.500 0.500

This entry pairs a crystal structure of Y4IrPt with its computed XRD peak list. Radiation: Cu Kα (weighted mean of Kα1 and Kα2). Structure: a crystal structure in Alexandria, relaxed with PBE.
No peak broadening, texture or thermal motion is included.

Top 6 peaks for 10° ≤ 2θ ≤ 80°, in order of falling intensity:
d/Å	intensity
2.424	100
3.959	63
1.400	35
2.067	33
1.714	17
1.573	14

Atomic structure:
a = 8.403 Å, b = 8.400 Å, c = 6.854 Å
α = 65.94°, β = 65.91°, γ = 48.15°
Atoms (fractional coordinates):
Y: 0.001 0.499 0.246
Y: 0.246 0.754 0.001
Y: 0.246 0.754 0.501
Y: 0.499 0.001 0.754
Y: 0.501 0.999 0.246
Y: 0.754 0.246 0.499
Y: 0.754 0.246 0.999
Y: 0.999 0.501 0.754
Ir: 0.125 0.125 0.125
Ir: 0.875 0.875 0.875
Pt: 0.375 0.375 0.375
Pt: 0.625 0.625 0.625